# Tb2Er4Mg
Simulated PXRD pattern, a wavelength of 1.5418 Å. Input: a structure optimized by DFT (PBE).
Lines closer than 0.1° are merged.

Main lines, in order of rising 2θ (2θ = 15–90°):
2θ 16.02, I 135; 2θ 26.03, I 182; 2θ 29.89, I 325; 2θ 31.51, I 1000; 2θ 32.36, I 197; 2θ 32.47, I 620; 2θ 38.50, I 131; 2θ 50.62, I 187; 2θ 57.24, I 177; 2θ 62.72, I 178

Crystal structure
a = 12.0365 Å, b = 12.0365 Å, c = 6.5982 Å
α = 90.00°, β = 90.00°, γ = 113.15°
Atoms (fractional coordinates):
1 Tb 0.0054 0.5054 0.7500
2 Tb 0.0076 0.9924 0.7500
3 Tb 0.4924 0.5076 0.7500
4 Tb 0.4946 0.9946 0.7500
5 Tb 0.5054 0.0054 0.2500
6 Tb 0.5076 0.4924 0.2500
7 Tb 0.9924 0.0076 0.2500
8 Tb 0.9946 0.4946 0.2500
9 Er 0.0528 0.2924 0.9891
10 Er 0.1000 0.7692 0.4951
11 Er 0.2076 0.4472 0.4891
12 Er 0.2308 0.9000 0.0049
13 Er 0.2692 0.6000 0.0049
14 Er 0.2924 0.0528 0.4891
15 Er 0.4000 0.7308 0.4951
16 Er 0.4472 0.2076 0.9891
17 Er 0.5528 0.7924 0.0109
18 Er 0.6000 0.2692 0.5049
19 Er 0.7076 0.9472 0.5109
20 Er 0.7308 0.4000 0.9951
21 Er 0.7692 0.1000 0.9951
22 Er 0.7924 0.5528 0.5109
23 Er 0.9000 0.2308 0.5049
24 Er 0.9472 0.7076 0.0109
25 Mg 0.2500 0.2500 0.2344
26 Mg 0.2500 0.2500 0.7344
27 Mg 0.7500 0.7500 0.2656
28 Mg 0.7500 0.7500 0.7656